Record 1
Calculated powder X-ray diffraction pattern
Compound: Ce5Mg
Radiation: Cu Kα, 1.54184 Å
Structure: a structure optimized by DFT (GGA-PBE)
No peak broadening, texture or thermal motion is included.

```
Ce5Mg
1.0
2.920 1.686 5.524
-2.920 1.686 5.524
0.000 -3.372 5.524
Ce Mg
5 1
Cartesian
-1.961 0.025 5.524
0.000 0.000 2.777
0.959 -1.710 5.524
1.002 1.686 5.524
0.000 0.000 13.796
0.000 0.000 8.287
```

Main lines, by intensity (2θ = 10–90°):
- 34.75 deg, I 100.0
- 32.41 deg, I 26.6
- 30.62 deg, I 24.9
- 64.79 deg, I 21.4
- 59.33 deg, I 21.2
- 54.43 deg, I 18.2
- 45.18 deg, I 17.7
- 66.21 deg, I 15.1

Record 2
Calculated powder X-ray diffraction pattern
Compound: Na5GdO4
Radiation: Cu Kα, 1.54184 Å
Structure: a structure optimized by DFT (GGA-PBE)
No peak broadening, texture or thermal motion is included.

```
Na5GdO4
1.0
7.598 0.000 0.000
0.000 7.917 0.000
0.000 0.000 5.596
Na Gd O
10 2 8
Cartesian
0.085 0.455 1.370
0.085 3.503 1.370
1.900 5.938 1.653
3.715 0.455 1.370
3.715 3.503 1.370
3.884 4.414 4.226
3.884 7.462 4.226
5.699 1.979 3.943
7.514 4.414 4.226
7.514 7.462 4.226
1.900 1.979 4.032
5.699 5.938 1.564
0.082 1.979 5.211
1.900 0.121 2.863
1.900 3.838 2.863
3.717 1.979 5.211
3.881 5.938 0.385
5.699 4.080 2.733
5.699 7.796 2.733
7.516 5.938 0.385
```

Main lines, by intensity (2θ = 10–90°):
- 16.17 deg, I 100.0
- 30.60 deg, I 86.8
- 19.43 deg, I 84.4
- 46.37 deg, I 57.8
- 19.70 deg, I 51.9
- 37.69 deg, I 48.7
- 30.05 deg, I 41.1
- 32.67 deg, I 32.6

Record 3
Calculated powder X-ray diffraction pattern
Compound: Ho5Ni2Sb
Radiation: Cu Kα, 1.54184 Å
Structure: a structure optimized by DFT (GGA-PBE)
No peak broadening, texture or thermal motion is included.

```
Ho5Ni2Sb
1.0
-3.791 3.791 6.674
3.791 -3.791 6.674
3.791 3.791 -6.674
Ho Ni Sb
10 4 2
Cartesian
0.000 0.000 0.000
4.981 1.189 -1.828
1.189 2.602 -1.828
4.981 1.189 1.828
1.189 2.602 1.828
0.000 0.000 6.674
2.602 1.189 4.846
-1.189 2.602 4.846
2.602 1.189 8.502
-1.189 2.602 8.502
2.796 0.995 0.000
2.796 -0.995 6.674
0.995 4.786 0.000
0.995 2.796 6.674
0.000 0.000 3.337
0.000 0.000 10.010
```

Main lines, by intensity (2θ = 10–90°):
- 33.22 deg, I 100.0
- 37.51 deg, I 66.7
- 35.85 deg, I 40.2
- 31.58 deg, I 36.1
- 27.13 deg, I 34.2
- 58.59 deg, I 23.9
- 68.52 deg, I 18.7
- 43.13 deg, I 15.6

Record 4
Calculated powder X-ray diffraction pattern
Compound: Ba3Ga4O9
Radiation: Cu Kα, 1.54184 Å
Structure: a structure optimized by DFT (GGA-PBE)
No peak broadening, texture or thermal motion is included.

```
Ba3Ga4O9
1.0
7.131 0.000 0.000
2.216 8.054 0.000
2.926 0.095 9.662
Ba Ga O
6 8 18
Cartesian
1.072 0.465 1.843
3.043 4.579 1.627
4.026 1.801 4.489
8.247 6.348 5.173
9.231 3.571 8.035
11.201 7.684 7.819
4.789 6.013 4.251
5.788 4.502 7.060
5.604 1.479 7.760
7.612 6.611 8.839
4.661 1.539 0.823
6.669 6.670 1.902
6.485 3.647 2.602
7.484 2.136 5.411
3.142 6.544 3.653
4.646 3.066 7.416
5.034 5.918 6.098
4.509 0.230 8.610
3.255 1.952 1.916
6.241 5.310 8.694
4.976 4.254 3.539
5.035 6.438 1.024
6.165 7.204 3.655
6.109 0.945 6.007
7.239 1.712 8.638
7.297 3.896 6.123
6.033 2.840 0.968
9.018 6.198 7.746
7.765 7.920 1.052
7.240 2.231 3.564
7.627 5.084 2.246
9.131 1.606 6.009
```

Main lines, by intensity (2θ = 10–90°):
- 28.72 deg, I 100.0
- 29.37 deg, I 53.6
- 30.95 deg, I 52.4
- 27.70 deg, I 46.4
- 28.18 deg, I 39.6
- 24.03 deg, I 31.0
- 26.46 deg, I 27.7
- 26.06 deg, I 27.6

Record 5
Calculated powder X-ray diffraction pattern
Compound: Ba4MgTi3O10
Radiation: Cu Kα, 1.54184 Å
Structure: a structure optimized by DFT (GGA-PBE)
No peak broadening, texture or thermal motion is included.

```
Ba4MgTi3O10
1.0
4.040 0.000 0.000
0.019 4.050 0.000
1.972 1.974 16.536
Ba Mg Ti O
4 1 3 10
Cartesian
0.000 0.000 0.000
1.911 1.891 12.630
3.952 3.930 9.710
4.013 4.022 5.815
3.489 3.376 2.899
1.930 1.916 7.903
1.567 1.468 2.942
3.943 3.921 14.439
1.918 3.923 14.649
1.922 1.903 9.843
1.940 3.938 7.722
1.479 3.544 2.932
1.776 1.701 4.924
1.792 1.713 0.945
3.931 1.892 14.628
3.938 3.914 12.508
3.945 1.923 7.709
3.630 1.370 2.933
```

Main lines, by intensity (2θ = 10–90°):
- 29.04 deg, I 100.0
- 31.35 deg, I 51.0
- 31.20 deg, I 44.5
- 22.14 deg, I 37.7
- 29.13 deg, I 34.0
- 41.81 deg, I 29.5
- 26.96 deg, I 25.1
- 44.87 deg, I 24.9

Record 6
Calculated powder X-ray diffraction pattern
Compound: Sr3Pr4O9
Radiation: Cu Kα, 1.54184 Å
Structure: a structure optimized by DFT (GGA-PBE)
No peak broadening, texture or thermal motion is included.

```
Sr3Pr4O9
1.0
7.038 0.000 0.000
-2.778 8.800 0.000
-1.214 -0.722 9.712
Sr Pr O
6 8 18
Cartesian
0.000 0.000 0.000
-1.124 3.646 0.027
2.099 2.563 1.323
2.924 -0.378 7.847
3.022 3.629 4.874
2.222 7.339 5.091
-2.330 5.927 7.243
-0.962 2.282 6.746
1.335 -0.259 4.192
-0.358 5.079 4.365
0.532 7.368 1.117
1.537 4.715 8.181
3.825 5.827 2.242
5.227 1.581 3.045
-1.585 3.191 4.680
-0.646 0.538 5.066
-0.137 1.872 1.586
-1.071 6.826 2.681
0.125 3.055 8.983
2.512 0.420 0.110
-0.287 7.272 5.702
-0.271 6.114 8.626
0.831 3.970 6.104
1.669 5.136 3.195
2.870 1.314 3.679
2.571 7.978 2.005
4.294 3.562 1.936
2.624 6.838 7.380
4.776 0.987 8.222
4.129 3.785 7.230
4.586 6.074 0.029
4.250 5.974 4.817
```

Main lines, by intensity (2θ = 10–90°):
- 28.98 deg, I 100.0
- 27.87 deg, I 70.1
- 29.61 deg, I 69.6
- 28.40 deg, I 68.8
- 28.00 deg, I 66.1
- 42.41 deg, I 30.8
- 41.34 deg, I 25.3
- 51.41 deg, I 21.9

Record 7
Calculated powder X-ray diffraction pattern
Compound: Ga5Rh3
Radiation: Cu Kα, 1.54184 Å
Structure: a structure optimized by DFT (GGA-PBE)
No peak broadening, texture or thermal motion is included.

```
Ga5Rh3
1.0
5.030 0.000 0.000
-1.331 6.601 0.000
-2.033 -1.957 7.478
Ga Rh
10 6
Cartesian
-1.038 2.004 2.591
-1.934 0.258 7.137
-1.083 5.390 3.443
1.311 -0.076 0.956
0.306 0.937 5.428
1.360 3.707 2.050
0.355 4.720 6.521
2.749 -0.746 4.035
3.600 4.386 0.341
2.704 2.641 4.887
-2.124 4.993 5.800
-0.992 2.583 7.105
0.191 3.458 4.324
1.475 1.187 3.154
2.659 2.061 0.372
3.791 -0.348 1.678
```

Main lines, by intensity (2θ = 10–90°):
- 42.49 deg, I 100.0
- 42.13 deg, I 69.6
- 41.65 deg, I 65.0
- 39.83 deg, I 57.8
- 43.75 deg, I 52.8
- 39.65 deg, I 43.0
- 41.40 deg, I 42.5
- 44.40 deg, I 38.1

Record 8
Calculated powder X-ray diffraction pattern
Compound: YSiIr
Radiation: Cu Kα, 1.54184 Å
Structure: a structure optimized by DFT (GGA-PBE)
No peak broadening, texture or thermal motion is included.

```
YSiIr
1.0
6.866 0.000 0.000
0.000 4.239 0.000
0.000 0.000 7.505
Y Si Ir
4 4 4
Cartesian
0.026 1.060 1.406
3.407 3.179 5.158
3.460 1.060 2.347
6.840 3.179 6.099
1.389 3.179 2.936
2.045 1.060 6.689
4.822 3.179 0.816
5.478 1.060 4.569
1.079 1.060 4.250
2.354 3.179 0.498
4.512 1.060 7.007
5.787 3.179 3.255
```

Main lines, by intensity (2θ = 10–90°):
- 27.44 deg, I 100.0
- 34.49 deg, I 84.5
- 41.93 deg, I 62.8
- 41.24 deg, I 56.9
- 35.72 deg, I 56.7
- 33.59 deg, I 52.9
- 42.66 deg, I 49.5
- 17.51 deg, I 43.6